Record 1
Diffraction record for VCo3Pt. The powder diffraction line list is calculated, not measured: it uses a GGA-PBE-relaxed structure and Cu Kα, 1.54184 Å.
Intensities are scaled so that the largest is 100.

Principal peaks in the range 15° ≤ 2θ ≤ 90°, most intense first:
h k l, 2theta, d/Å, intensity
2 2 0, 41.12, 2.195, 100
1 1 1, 40.13, 2.247, 78
1 0 1, 39.02, 2.309, 65
2 3 0, 46.20, 1.965, 59
0 3 1, 44.26, 2.046, 58
1 3 1, 48.19, 1.889, 58
2 1 1, 51.95, 1.760, 44
0 5 0, 46.05, 1.971, 39
1 2 1, 43.29, 2.090, 36
0 3 0, 27.15, 3.285, 32

Structural model:
Cell: 4.904 9.855 2.616 Å, 90.00 90.00 90.00°
Space group Pmn2_1 (No. 31)
One atom of each set of equivalent atoms:
V 0.000 0.082 0.000 x2
Co 0.000 0.872 0.496 x2
Co 0.234 0.282 0.497 x4
Pt 0.000 0.523 0.498 x2

***

Record 2
Diffraction record for VCo2Pt6. The powder diffraction line list is calculated, not measured: it uses a GGA-PBE-relaxed structure and Cu Kα, 1.54184 Å.
Intensities are scaled so that the largest is 100.

Principal peaks in the range 15° ≤ 2θ ≤ 90°, most intense first:
h k l, 2theta, d/Å, intensity
3 1 0, 40.49, 2.228, 100
1 1 -3, 40.37, 2.234, 98
0 2 0, 47.00, 1.933, 33
2 0 3, 46.86, 1.939, 32
4 0 -3, 47.23, 1.925, 31
6 0 0, 68.85, 1.364, 31
2 2 3, 68.55, 1.369, 30
5 1 3, 82.74, 1.166, 25
2 0 -2, 26.21, 3.400, 15
3 3 0, 82.85, 1.165, 13

Structural model:
Cell: 8.606 3.866 8.212 Å, 90.00 108.12 90.00°
Space group C2/m (No. 12)
One atom of each set of equivalent atoms:
V 0.000 0.000 0.000 x2
Co 0.163 0.500 0.220 x4
Pt 0.001 0.000 0.682 x4
Pt 0.164 0.500 0.898 x4
Pt 0.167 0.500 0.556 x4

***

Record 3
Diffraction record for VCo3Pt12. The powder diffraction line list is calculated, not measured: it uses a GGA-PBE-relaxed structure and Cu Kα, 1.54184 Å.
Intensities are scaled so that the largest is 100.

Principal peaks in the range 15° ≤ 2θ ≤ 90°, most intense first:
h k l, 2theta, d/Å, intensity
1 1 4, 40.11, 2.248, 100
2 0 0, 46.66, 1.947, 49
3 1 4, 82.09, 1.174, 38
2 2 0, 68.11, 1.377, 32
1 0 0, 22.84, 3.894, 14
1 0 4, 32.52, 2.753, 11
2 2 8, 86.61, 1.124, 11
1 0 8, 52.56, 1.741, 6
1 1 8, 58.02, 1.590, 5
0 0 12, 72.88, 1.298, 3

Structural model:
Cell: 3.895 3.895 15.563 Å, 90.00 90.00 90.00°
Space group P4/mmm (No. 123)
One atom of each set of equivalent atoms:
V 0.000 0.000 0.000 x1
Co 0.000 0.000 0.254 x2
Co 0.000 0.000 0.500 x1
Pt 0.000 0.500 0.124 x4
Pt 0.000 0.500 0.375 x4
Pt 0.500 0.500 0.000 x1
Pt 0.500 0.500 0.250 x2
Pt 0.500 0.500 0.500 x1

***

Record 4
Diffraction record for Co5Pt6W. The powder diffraction line list is calculated, not measured: it uses a GGA-PBE-relaxed structure and Cu Kα, 1.54184 Å.
Intensities are scaled so that the largest is 100.

Principal peaks in the range 15° ≤ 2θ ≤ 90°, most intense first:
h k l, 2theta, d/Å, intensity
1 3 2, 41.03, 2.200, 100
2 0 0, 47.55, 1.912, 33
3 3 2, 84.02, 1.152, 25
2 0 4, 69.96, 1.345, 21
0 0 2, 23.52, 3.783, 17
0 0 4, 48.11, 1.891, 16
1 3 0, 33.13, 2.704, 14
1 3 6, 84.84, 1.143, 12
2 6 4, 89.00, 1.100, 11
2 6 0, 69.53, 1.352, 10

Structural model:
Cell: 3.824 11.472 7.566 Å, 90.00 90.00 90.00°
Space group Cmmm (No. 65)
One atom of each set of equivalent atoms:
Co 0.000 0.000 0.000 x2
Co 0.000 0.335 0.000 x4
Co 0.000 0.338 0.500 x4
Pt 0.000 0.168 0.249 x8
Pt 0.000 0.500 0.247 x4
W 0.000 0.000 0.500 x2

***

Record 5
Diffraction record for YCoPt4. The powder diffraction line list is calculated, not measured: it uses a GGA-PBE-relaxed structure and Cu Kα, 1.54184 Å.
Intensities are scaled so that the largest is 100.

Principal peaks in the range 15° ≤ 2θ ≤ 90°, most intense first:
h k l, 2theta, d/Å, intensity
3 1 1, 39.79, 2.266, 100
2 2 2, 41.63, 2.169, 72
1 1 1, 20.47, 4.338, 55
5 1 1, 64.43, 1.446, 32
4 4 0, 70.95, 1.328, 32
6 2 2, 85.77, 1.133, 28
4 0 0, 48.46, 1.879, 23
3 3 1, 53.13, 1.724, 14
5 3 3, 84.56, 1.146, 12
5 3 1, 74.74, 1.270, 11

Structural model:
Cell: 7.514 7.514 7.514 Å, 90.00 90.00 90.00°
Space group F-43m (No. 216)
One atom of each set of equivalent atoms:
Y 0.000 0.000 0.000 x4
Co 0.250 0.250 0.250 x4
Pt 0.124 0.124 0.624 x16

***

Record 6
Diffraction record for Y8CoPt2. The powder diffraction line list is calculated, not measured: it uses a GGA-PBE-relaxed structure and Cu Kα, 1.54184 Å.
Intensities are scaled so that the largest is 100.

Principal peaks in the range 15° ≤ 2θ ≤ 90°, most intense first:
h k l, 2theta, d/Å, intensity
1 3 1, 31.04, 2.881, 100
0 2 2, 34.51, 2.599, 78
0 0 1, 15.45, 5.737, 65
1 5 -1, 39.67, 2.272, 51
3 1 -1, 32.54, 2.752, 50
2 2 0, 26.62, 3.349, 40
2 0 -2, 31.24, 2.863, 39
3 3 -1, 38.65, 2.330, 39
3 3 0, 40.40, 2.233, 32
0 4 1, 32.89, 2.723, 29

Structural model:
Cell: 8.523 12.377 6.138 Å, 90.00 110.85 90.00°
Space group Cm (No. 8)
One atom of each set of equivalent atoms:
Y 0.000 0.000 0.000 x2
Y 0.058 0.370 0.807 x4
Y 0.139 0.131 0.584 x4
Y 0.206 0.500 0.368 x2
Y 0.355 0.199 0.183 x4
Co 0.359 0.000 0.990 x2
Pt 0.346 0.317 0.688 x4

***

Record 7
Diffraction record for Zn2CoPt2. The powder diffraction line list is calculated, not measured: it uses a GGA-PBE-relaxed structure and Cu Kα, 1.54184 Å.
Intensities are scaled so that the largest is 100.

Principal peaks in the range 15° ≤ 2θ ≤ 90°, most intense first:
h k l, 2theta, d/Å, intensity
2 1 1, 42.09, 2.147, 100
3 1 0, 39.08, 2.305, 48
2 1 0, 27.36, 3.260, 32
5 2 1, 78.17, 1.223, 24
1 1 0, 17.21, 5.154, 24
0 0 1, 31.36, 2.853, 16
3 1 1, 50.94, 1.793, 14
4 0 0, 50.06, 1.822, 14
3 1 2, 78.93, 1.213, 12
3 3 0, 53.33, 1.718, 12

Structural model:
Cell: 7.289 7.289 2.853 Å, 90.00 90.00 90.00°
Space group P4/mbm (No. 127)
One atom of each set of equivalent atoms:
Zn 0.156 0.344 0.000 x4
Co 0.000 0.000 0.500 x2
Pt 0.143 0.643 0.500 x4

***

Record 8
Diffraction record for Zn3CoPt4. The powder diffraction line list is calculated, not measured: it uses a GGA-PBE-relaxed structure and Cu Kα, 1.54184 Å.
Intensities are scaled so that the largest is 100.

Principal peaks in the range 15° ≤ 2θ ≤ 90°, most intense first:
h k l, 2theta, d/Å, intensity
2 2 1, 42.75, 2.115, 100
4 0 0, 40.52, 2.226, 37
2 0 1, 27.96, 3.191, 34
6 2 1, 75.25, 1.263, 19
1 0 2, 40.71, 2.216, 18
1 2 1, 38.80, 2.321, 17
0 2 0, 31.67, 2.825, 16
0 0 2, 39.38, 2.288, 14
0 4 0, 66.17, 1.412, 12
4 4 0, 80.54, 1.193, 10

Structural model:
Cell: 8.905 5.650 4.576 Å, 90.00 90.00 90.00°
Space group Pmma (No. 51)
One atom of each set of equivalent atoms:
Zn 0.000 0.000 0.000 x2
Zn 0.250 0.000 0.395 x2
Zn 0.250 0.500 0.385 x2
Co 0.000 0.500 0.000 x2
Pt 0.000 0.252 0.500 x4
Pt 0.250 0.253 0.893 x4

***

Record 9
Diffraction record for ZnCoPt. The powder diffraction line list is calculated, not measured: it uses a GGA-PBE-relaxed structure and Cu Kα, 1.54184 Å.
Intensities are scaled so that the largest is 100.

Principal peaks in the range 15° ≤ 2θ ≤ 90°, most intense first:
h k l, 2theta, d/Å, intensity
1 1 0, 40.85, 2.209, 100
0 1 3, 41.74, 2.164, 94
1 0 3, 47.64, 1.909, 64
0 1 1, 26.40, 3.376, 47
1 2 3, 70.65, 1.333, 38
0 0 2, 22.29, 3.988, 33
0 2 0, 48.89, 1.863, 30
2 1 3, 83.44, 1.158, 24
1 0 1, 34.58, 2.594, 24
1 1 6, 85.20, 1.139, 23

Structural model:
Cell: 2.743 3.726 7.975 Å, 90.00 90.00 90.00°
Space group Imm2 (No. 44)
One atom of each set of equivalent atoms:
Zn 0.000 0.000 0.000 x2
Co 0.000 0.000 0.664 x2
Pt 0.000 0.000 0.330 x2

***

Record 10
Diffraction record for Zr6CoPt2. The powder diffraction line list is calculated, not measured: it uses a GGA-PBE-relaxed structure and Cu Kα, 1.54184 Å.
Intensities are scaled so that the largest is 100.

Principal peaks in the range 15° ≤ 2θ ≤ 90°, most intense first:
h k l, 2theta, d/Å, intensity
1 3 1, 34.70, 2.585, 100
1 2 2, 37.72, 2.385, 53
1 0 2, 35.29, 2.544, 39
0 1 3, 36.23, 2.479, 34
1 4 0, 36.97, 2.431, 31
0 6 0, 39.27, 2.294, 27
0 3 3, 40.85, 2.209, 27
1 4 2, 44.29, 2.045, 24
1 7 3, 66.15, 1.413, 24
0 3 1, 22.67, 3.923, 22

Structural model:
Cell: 3.435 13.765 7.562 Å, 90.00 90.00 90.00°
Space group Amm2 (No. 38)
One atom of each set of equivalent atoms:
Zr 0.000 0.000 0.000 x2
Zr 0.000 0.129 0.655 x4
Zr 0.500 0.000 0.352 x2
Zr 0.500 0.195 0.995 x4
Co 0.500 0.000 0.735 x2
Pt 0.000 0.161 0.289 x4

***

Record 11
Diffraction record for Zr5CoPt2. The powder diffraction line list is calculated, not measured: it uses a GGA-PBE-relaxed structure and Cu Kα, 1.54184 Å.
Intensities are scaled so that the largest is 100.

Principal peaks in the range 15° ≤ 2θ ≤ 90°, most intense first:
h k l, 2theta, d/Å, intensity
2 1 1, 33.92, 2.643, 100
1 3 1, 35.66, 2.518, 74
2 2 1, 37.01, 2.429, 49
0 0 2, 44.37, 2.042, 39
1 4 0, 35.85, 2.505, 32
0 4 1, 40.41, 2.232, 29
1 3 0, 27.90, 3.198, 20
3 2 0, 40.60, 2.222, 18
3 2 1, 46.53, 1.952, 17
1 4 2, 58.30, 1.583, 15

Structural model:
Cell: 7.333 10.661 4.084 Å, 90.00 90.00 90.00°
Space group Pbam (No. 55)
One atom of each set of equivalent atoms:
Zr 0.000 0.000 0.000 x2
Zr 0.146 0.290 0.000 x4
Zr 0.181 0.577 0.500 x4
Co 0.000 0.500 0.000 x2
Pt 0.071 0.831 0.500 x4

***

Record 12
Diffraction record for Pu6Co. The powder diffraction line list is calculated, not measured: it uses a GGA-PBE-relaxed structure and Cu Kα, 1.54184 Å.
Intensities are scaled so that the largest is 100.

Principal peaks in the range 15° ≤ 2θ ≤ 90°, most intense first:
h k l, 2theta, d/Å, intensity
3 2 1, 35.32, 2.541, 100
0 0 2, 34.38, 2.609, 26
3 2 3, 62.19, 1.493, 20
8 3 1, 80.34, 1.195, 18
5 1 0, 44.02, 2.057, 14
5 5 2, 73.43, 1.290, 13
6 0 2, 64.12, 1.452, 11
5 1 2, 57.01, 1.615, 9
4 1 1, 39.40, 2.287, 8
5 5 0, 62.62, 1.483, 8

Structural model:
Cell: 10.490 10.490 5.217 Å, 90.00 90.00 90.00°
Space group I4/mcm (No. 140)
One atom of each set of equivalent atoms:
Pu 0.097 0.217 0.000 x16
Pu 0.097 0.403 0.500 x8
Co 0.000 0.000 0.250 x4